[1]
Simulated XRD peak list of Ce3Si4Rh4 for Cu Kα (λ = 1.5418 Å), from a crystal structure in the Materials Project, relaxed with GGA-PBE.
Neutral-atom scattering factors, no anomalous dispersion.

Largest 8 diffraction maxima, by intensity, 2θ from 10° to 90°:
- 2θ 34.29, 2.615 Å, I = 100, hkl 1 1 4
- 2θ 33.91, 2.644 Å, I = 27, hkl 1 0 7
- 2θ 43.42, 2.084 Å, I = 20, hkl 0 2 0
- 2θ 45.27, 2.003 Å, I = 17, hkl 2 0 0
- 2θ 46.01, 1.972 Å, I = 15, hkl 0 1 11
- 2θ 29.00, 3.079 Å, I = 14, hkl 0 0 8
- 2θ 23.94, 3.717 Å, I = 13, hkl 0 1 3
- 2θ 56.20, 1.637 Å, I = 13, hkl 1 2 7

Structural model:
```
data_Ce3Si4Rh4
_chemical_formula_sum 'Ce6 Si8 Rh8'
_space_group_name_H-M_alt 'I m m m'
_space_group_IT_number 71
_space_group_name_Hall '-I 2 2'
_cell_length_a 4.006
_cell_length_b 4.168
_cell_length_c 24.630
_cell_angle_alpha 90.00
_cell_angle_beta 90.00
_cell_angle_gamma 90.00
loop_
_atom_site_label
_atom_site_type_symbol
_atom_site_fract_x
_atom_site_fract_y
_atom_site_fract_z
Ce1 Ce 0.000 0.000 0.000
Ce2 Ce 0.000 0.500 0.145
Si1 Si 0.000 0.000 0.452
Si2 Si 0.000 0.500 0.302
Rh1 Rh 0.000 0.000 0.250
Rh2 Rh 0.000 0.500 0.401
```

=====

[2]
Simulated XRD peak list of Ca11AlSb9 for Cu Kα (λ = 1.5418 Å), from a crystal structure in the Materials Project, relaxed with GGA-PBE.
Neutral-atom scattering factors, no anomalous dispersion.

Largest 8 diffraction maxima, by intensity, 2θ from 10° to 90°:
- 2θ 31.91, 2.804 Å, I = 100, hkl 0 0 6
- 2θ 31.13, 2.873 Å, I = 71, hkl 3 3 0
- 2θ 30.66, 2.916 Å, I = 60, hkl 2 3 3
- 2θ 22.57, 3.940 Å, I = 57, hkl 1 2 3
- 2θ 22.96, 3.873 Å, I = 49, hkl 2 1 3
- 2θ 23.59, 3.772 Å, I = 41, hkl 3 1 0
- 2θ 45.23, 2.005 Å, I = 40, hkl 3 3 6
- 2θ 31.45, 2.844 Å, I = 29, hkl 4 1 1

Structural model:
```
data_Ca11AlSb9
_chemical_formula_sum 'Ca44 Al4 Sb36'
_space_group_name_H-M_alt 'I b a 2'
_space_group_IT_number 45
_cell_length_a 11.862
_cell_length_b 12.535
_cell_length_c 16.806
_cell_angle_alpha 90.00
_cell_angle_beta 90.00
_cell_angle_gamma 90.00
loop_
_space_group_symop_operation_xyz
'x,y,z'
'-x,-y,z'
'-x,y,z+1/2'
'x,-y,z+1/2'
'x+1/2,y+1/2,z+1/2'
'-x+1/2,-y+1/2,z+1/2'
'-x+1/2,y+1/2,z'
'x+1/2,-y+1/2,z'
loop_
_atom_site_label
_atom_site_type_symbol
_atom_site_fract_x
_atom_site_fract_y
_atom_site_fract_z
Ca1 Ca 0.000 0.000 0.196
Ca2 Ca 0.073 0.277 0.212
Ca3 Ca 0.089 0.274 0.530
Ca4 Ca 0.162 0.175 0.871
Ca5 Ca 0.184 0.446 0.741
Ca6 Ca 0.185 0.442 0.000
Al1 Al 0.000 0.000 0.476
Sb1 Sb 0.000 0.500 0.119
Sb2 Sb 0.035 0.390 0.373
Sb3 Sb 0.130 0.115 0.369
Sb4 Sb 0.145 0.137 0.059
Sb5 Sb 0.176 0.177 0.688
```

=====

[3]
Simulated XRD peak list of AlFe2Ge for Cu Kα (λ = 1.5418 Å), from a crystal structure in the Materials Project, relaxed with GGA-PBE.
Neutral-atom scattering factors, no anomalous dispersion.

Largest 8 diffraction maxima, by intensity, 2θ from 10° to 90°:
- 2θ 44.79, 2.024 Å, I = 100, hkl 2 2 0
- 2θ 82.57, 1.168 Å, I = 30, hkl 4 2 2
- 2θ 65.20, 1.431 Å, I = 15, hkl 4 0 0
- 2θ 26.98, 3.305 Å, I = 13, hkl 1 1 1
- 2θ 53.06, 1.726 Å, I = 6, hkl 3 1 1
- 2θ 71.90, 1.313 Å, I = 2, hkl 3 3 1
- 2θ 88.83, 1.102 Å, I = 2, hkl 5 1 1
- 2θ 31.25, 2.862 Å, I = 1, hkl 2 0 0

Structural model:
```
data_AlFe2Ge
_chemical_formula_sum 'Al4 Fe8 Ge4'
_space_group_name_H-M_alt 'F m -3 m'
_space_group_IT_number 225
_space_group_name_Hall '-F 4 2 3'
_cell_length_a 5.724
_cell_length_b 5.724
_cell_length_c 5.724
_cell_angle_alpha 90.00
_cell_angle_beta 90.00
_cell_angle_gamma 90.00
loop_
_atom_site_label
_atom_site_type_symbol
_atom_site_fract_x
_atom_site_fract_y
_atom_site_fract_z
Al1 Al 0.000 0.000 0.000
Fe1 Fe 0.250 0.250 0.250
Ge1 Ge 0.000 0.000 0.500
```

=====

[4]
Simulated XRD peak list of ErAs3 for Cu Kα (λ = 1.5418 Å), from a crystal structure in the Materials Project, relaxed with GGA-PBE.
Neutral-atom scattering factors, no anomalous dispersion.

Largest 8 diffraction maxima, by intensity, 2θ from 10° to 90°:
- 2θ 38.45, 2.341 Å, I = 100, hkl 2 0 1
- 2θ 32.76, 2.734 Å, I = 36, hkl 0 0 2
- 2θ 62.29, 1.491 Å, I = 24, hkl 2 0 3
- 2θ 34.63, 2.591 Å, I = 22, hkl 2 0 0
- 2θ 71.97, 1.312 Å, I = 19, hkl 2 2 2
- 2θ 48.41, 1.880 Å, I = 17, hkl 2 0 2
- 2θ 17.11, 5.181 Å, I = 16, hkl 1 0 0
- 2θ 62.05, 1.496 Å, I = 15, hkl 2 2 0

Structural model:
```
data_ErAs3
_chemical_formula_sum 'Er2 As6'
_space_group_name_H-M_alt 'P 63/m m c'
_space_group_IT_number 194
_space_group_name_Hall '-P 6c 2c'
_cell_length_a 5.9826
_cell_length_b 5.9826
_cell_length_c 5.4677
_cell_angle_alpha 90.00
_cell_angle_beta 90.00
_cell_angle_gamma 120.00
loop_
_atom_site_label
_atom_site_type_symbol
_atom_site_fract_x
_atom_site_fract_y
_atom_site_fract_z
Er1 Er 0.3333 0.6667 0.2500
As1 As 0.1816 0.3633 0.7500
```

=====

[5]
Simulated XRD peak list of SnS for Cu Kα (λ = 1.5418 Å), from a crystal structure in the Materials Project, relaxed with GGA-PBE.
Neutral-atom scattering factors, no anomalous dispersion.

Largest 8 diffraction maxima, by intensity, 2θ from 10° to 90°:
- 2θ 30.94, 2.890 Å, I = 100, hkl 1 -1 0
- 2θ 31.22, 2.865 Å, I = 85, hkl 1 1 -1
- 2θ 24.41, 3.647 Å, I = 83, hkl 0 0 3
- 2θ 32.76, 2.734 Å, I = 56, hkl 0 0 4
- 2θ 44.14, 2.052 Å, I = 48, hkl 2 0 0
- 2θ 25.40, 3.507 Å, I = 30, hkl 0 1 -2
- 2θ 49.99, 1.825 Å, I = 25, hkl 1 -1 5
- 2θ 23.23, 3.829 Å, I = 25, hkl 1 0 1

Structural model:
```
data_SnS
_chemical_formula_sum 'Sn2 S2'
_space_group_name_H-M_alt 'P -1'
_space_group_IT_number 2
_cell_length_a 4.105
_cell_length_b 4.109
_cell_length_c 11.041
_cell_angle_alpha 98.02
_cell_angle_beta 90.64
_cell_angle_gamma 90.01
loop_
_space_group_symop_operation_xyz
'x,y,z'
'-x,-y,-z'
loop_
_atom_site_label
_atom_site_type_symbol
_atom_site_fract_x
_atom_site_fract_y
_atom_site_fract_z
Sn1 Sn 0.242 0.196 0.365
S1 S 0.253 0.288 0.600
```

=====

[6]
Simulated XRD peak list of CaGeO3 for Cu Kα (λ = 1.5418 Å), from a crystal structure in the Materials Project, relaxed with GGA-PBE.
Neutral-atom scattering factors, no anomalous dispersion.

Largest 8 diffraction maxima, by intensity, 2θ from 10° to 90°:
- 2θ 17.03, 5.207 Å, I = 100, hkl 1 1 0
- 2θ 29.83, 2.995 Å, I = 96, hkl 0 0 3
- 2θ 28.49, 3.133 Å, I = 51, hkl 0 2 2
- 2θ 32.73, 2.736 Å, I = 48, hkl 0 2 -1
- 2θ 32.94, 2.719 Å, I = 38, hkl 2 2 1
- 2θ 28.19, 3.165 Å, I = 36, hkl 2 0 1
- 2θ 33.60, 2.667 Å, I = 32, hkl 1 -2 0
- 2θ 28.31, 3.153 Å, I = 29, hkl 1 2 0

Structural model:
```
data_CaGeO3
_chemical_formula_sum 'Ca6 Ge6 O18'
_space_group_name_H-M_alt 'P -1'
_space_group_IT_number 2
_cell_length_a 6.894
_cell_length_b 6.951
_cell_length_c 9.567
_cell_angle_alpha 69.97
_cell_angle_beta 84.06
_cell_angle_gamma 76.44
loop_
_space_group_symop_operation_xyz
'x,y,z'
'-x,-y,-z'
loop_
_atom_site_label
_atom_site_type_symbol
_atom_site_fract_x
_atom_site_fract_y
_atom_site_fract_z
Ca1 Ca 0.072 0.422 0.336
Ca2 Ca 0.235 0.257 0.002
Ca3 Ca 0.408 0.765 0.358
Ge1 Ge 0.042 0.026 0.695
Ge2 Ge 0.270 0.771 0.994
Ge3 Ge 0.398 0.657 0.708
O1 O 0.057 0.717 0.411
O2 O 0.120 0.590 0.066
O3 O 0.138 0.020 0.867
O4 O 0.143 0.120 0.263
O5 O 0.257 0.913 0.601
O6 O 0.258 0.465 0.748
O7 O 0.393 0.848 0.108
O8 O 0.403 0.397 0.411
O9 O 0.472 0.692 0.871
```

=====

[7]
Simulated XRD peak list of Si2H2O3 for Cu Kα (λ = 1.5418 Å), from a crystal structure in the Materials Project, relaxed with GGA-PBE.
Neutral-atom scattering factors, no anomalous dispersion.

Largest 8 diffraction maxima, by intensity, 2θ from 10° to 90°:
- 2θ 12.21, 7.246 Å, I = 100, hkl 1 0 1
- 2θ 24.57, 3.623 Å, I = 96, hkl 2 0 2
- 2θ 25.52, 3.491 Å, I = 75, hkl 2 -1 3
- 2θ 49.73, 1.834 Å, I = 20, hkl 4 -1 5
- 2θ 29.40, 3.038 Å, I = 12, hkl 3 -1 1
- 2θ 25.41, 3.505 Å, I = 12, hkl 1 0 4
- 2θ 40.09, 2.249 Å, I = 9, hkl 4 -3 1
- 2θ 54.26, 1.690 Å, I = 8, hkl 1 4 3

Structural model:
```
data_Si2H2O3
_chemical_formula_sum 'Si24 H24 O36'
_space_group_name_H-M_alt 'R -3'
_space_group_IT_number 148
_space_group_name_Hall '-R 3'
_cell_length_a 9.4641
_cell_length_b 9.4641
_cell_length_c 15.5093
_cell_angle_alpha 90.00
_cell_angle_beta 90.00
_cell_angle_gamma 120.00
loop_
_atom_site_label
_atom_site_type_symbol
_atom_site_fract_x
_atom_site_fract_y
_atom_site_fract_z
Si1 Si 0.0000 0.0000 0.1759
Si2 Si 0.0262 0.5671 0.7253
H1 H 0.0000 0.0000 0.2707
H2 H 0.0140 0.1936 0.5767
O1 O 0.0239 0.4208 0.6677
O2 O 0.0573 0.8726 0.1414
```

=====

[8]
Simulated XRD peak list of HfUNb2C4 for Cu Kα (λ = 1.5418 Å), from a crystal structure in the Materials Project, relaxed with GGA-PBE.
Neutral-atom scattering factors, no anomalous dispersion.

Largest 8 diffraction maxima, by intensity, 2θ from 10° to 90°:
- 2θ 33.66, 2.663 Å, I = 100, hkl 1 0 4
- 2θ 38.86, 2.318 Å, I = 88, hkl 0 1 8
- 2θ 32.96, 2.717 Å, I = 34, hkl 0 0 12
- 2θ 56.58, 1.627 Å, I = 30, hkl 1 1 0
- 2θ 55.66, 1.651 Å, I = 28, hkl 1 0 16
- 2θ 67.06, 1.396 Å, I = 27, hkl 1 1 12
- 2θ 70.76, 1.331 Å, I = 15, hkl 2 0 8
- 2θ 67.47, 1.388 Å, I = 14, hkl 0 2 4

Structural model:
```
data_HfUNb2C4
_chemical_formula_sum 'Hf3 U3 Nb6 C12'
_space_group_name_H-M_alt 'R 3 m'
_space_group_IT_number 160
_space_group_name_Hall 'R 3 -2"'
_cell_length_a 3.2532
_cell_length_b 3.2532
_cell_length_c 32.6070
_cell_angle_alpha 90.00
_cell_angle_beta 90.00
_cell_angle_gamma 120.00
loop_
_atom_site_label
_atom_site_type_symbol
_atom_site_fract_x
_atom_site_fract_y
_atom_site_fract_z
Hf1 Hf 0.0000 0.0000 0.0000
U1 U 0.0000 0.0000 0.2444
Nb1 Nb 0.0000 0.0000 0.4911
Nb2 Nb 0.0000 0.0000 0.7470
C1 C 0.0000 0.0000 0.1191
C2 C 0.0000 0.0000 0.3742
C3 C 0.0000 0.0000 0.6246
C4 C 0.0000 0.0000 0.8643
```

=====

> What is the formula in the sixth record?

CaGeO3

=====

> Which formula does entry 5 have?

SnS

=====

What did the eighth record say?
Simulated XRD peak list of HfUNb2C4 for Cu Kα (λ = 1.5418 Å), from a crystal structure in the Materials Project, relaxed with GGA-PBE.
Neutral-atom scattering factors, no anomalous dispersion.

Largest 8 diffraction maxima, by intensity, 2θ from 10° to 90°:
- 2θ 33.66, 2.663 Å, I = 100, hkl 1 0 4
- 2θ 38.86, 2.318 Å, I = 88, hkl 0 1 8
- 2θ 32.96, 2.717 Å, I = 34, hkl 0 0 12
- 2θ 56.58, 1.627 Å, I = 30, hkl 1 1 0
- 2θ 55.66, 1.651 Å, I = 28, hkl 1 0 16
- 2θ 67.06, 1.396 Å, I = 27, hkl 1 1 12
- 2θ 70.76, 1.331 Å, I = 15, hkl 2 0 8
- 2θ 67.47, 1.388 Å, I = 14, hkl 0 2 4

Structural model:
```
data_HfUNb2C4
_chemical_formula_sum 'Hf3 U3 Nb6 C12'
_space_group_name_H-M_alt 'R 3 m'
_space_group_IT_number 160
_space_group_name_Hall 'R 3 -2"'
_cell_length_a 3.2532
_cell_length_b 3.2532
_cell_length_c 32.6070
_cell_angle_alpha 90.00
_cell_angle_beta 90.00
_cell_angle_gamma 120.00
loop_
_atom_site_label
_atom_site_type_symbol
_atom_site_fract_x
_atom_site_fract_y
_atom_site_fract_z
Hf1 Hf 0.0000 0.0000 0.0000
U1 U 0.0000 0.0000 0.2444
Nb1 Nb 0.0000 0.0000 0.4911
Nb2 Nb 0.0000 0.0000 0.7470
C1 C 0.0000 0.0000 0.1191
C2 C 0.0000 0.0000 0.3742
C3 C 0.0000 0.0000 0.6246
C4 C 0.0000 0.0000 0.8643
```